For KHgF4, a cell relaxed with GGA-PBE gives the calculated XRD peak list in this record (Cu Kα, 1.54184 Å).

Crystal structure
```
data_KHgF4
_chemical_formula_sum 'K4 Hg4 F16'
_cell_length_a 7.5105
_cell_length_b 10.6698
_cell_length_c 5.9115
_cell_angle_alpha 90.00
_cell_angle_beta 129.23
_cell_angle_gamma 90.00
_space_group_name_H-M_alt 'C 1 2/c 1'
_space_group_IT_number 15
_space_group_name_Hall '-C 2yc'
loop_
_atom_site_label
_atom_site_fract_x
_atom_site_fract_y
_atom_site_fract_z
K1 0.0000 0.1250 0.2500
Hg1 0.0000 0.3757 0.7500
F1 0.1949 0.2411 0.7340
F2 0.2105 0.4895 0.2645
```

Peak list (6 most intense, 2θ = 10–80°, low angle first)
hkl  d [Å]  2θ/deg  I/Imax
1 1 0  5.101  17.4  100
0 2 1  3.475  25.6  76
2 2 -1  3.071  29.1  65
1 1 -2  2.734  32.8  26
0 0 2  2.289  39.4  23
2 4 -2  1.964  46.2  53

For ScHgSb2Ir2, a cell relaxed with GGA-PBE gives the calculated XRD peak list in this record (Cu Kα, 1.54184 Å).

Crystal structure
```
data_ScHgSb2Ir2
_chemical_formula_sum 'Sc2 Hg2 Sb4 Ir4'
_cell_length_a 4.4722
_cell_length_b 9.2503
_cell_length_c 6.3230
_cell_angle_alpha 90.00
_cell_angle_beta 90.00
_cell_angle_gamma 90.00
_space_group_name_H-M_alt 'P m n 21'
_space_group_IT_number 31
_space_group_name_Hall 'P 2ac -2'
loop_
_atom_site_label
_atom_site_fract_x
_atom_site_fract_y
_atom_site_fract_z
Sc1 0.0000 0.1211 0.0000
Hg1 0.0000 0.6131 0.9763
Sb1 0.0000 0.1145 0.5027
Sb2 0.0000 0.6402 0.4869
Ir1 0.0000 0.3485 0.7487
Ir2 0.0000 0.8732 0.7519
```

Peak list (6 most intense, 2θ = 10–80°, low angle first)
hkl  d [Å]  2θ/deg  I/Imax
0 2 1  3.733  23.8  32
1 0 1  3.651  24.4  41
0 4 0  2.313  38.9  24
1 2 2  2.254  40.0  100
2 0 0  2.236  40.3  26
0 2 3  1.918  47.4  19

For Tb2Ge2O7, a cell relaxed with GGA-PBE gives the calculated XRD peak list in this record (Cu Kα, 1.54184 Å).

Crystal structure
```
data_Tb2Ge2O7
_chemical_formula_sum 'Tb4 Ge4 O14'
_cell_length_a 6.7094
_cell_length_b 6.7689
_cell_length_c 6.8514
_cell_angle_alpha 64.74
_cell_angle_beta 86.55
_cell_angle_gamma 87.05
_space_group_name_H-M_alt 'P 1'
_space_group_IT_number 1
_space_group_name_Hall 'P 1'
loop_
_atom_site_label
_atom_site_fract_x
_atom_site_fract_y
_atom_site_fract_z
Tb1 0.0000 0.0000 0.0000
Tb2 0.0604 0.5074 0.4944
Tb3 0.3055 0.9759 0.4982
Tb4 0.5829 0.4281 0.8489
Ge1 0.1166 0.4704 0.9807
Ge2 0.4742 0.8735 0.0341
Ge3 0.5619 0.4331 0.3535
Ge4 0.8076 0.9904 0.5040
O1 0.0241 0.6151 0.1274
O2 0.2578 0.6031 0.7305
O3 0.2625 0.2283 0.1110
O4 0.2883 0.9592 0.8498
O5 0.3369 0.3205 0.4810
O6 0.3753 0.7735 0.3023
O7 0.5728 0.6047 0.0697
O8 0.6193 0.8173 0.6556
O9 0.6655 0.0586 0.9591
O10 0.6671 0.2043 0.2996
O11 0.7183 0.4773 0.5204
O12 0.9264 0.3801 0.8667
O13 0.9802 0.8744 0.3705
O14 0.9833 0.0944 0.6163
```

Peak list (6 most intense, 2θ = 10–80°, low angle first)
hkl  d [Å]  2θ/deg  I/Imax
0 0 2  3.095  28.8  68
0 2 0  3.060  29.2  100
2 1 0  2.974  30.0  77
2 -1 0  2.900  30.8  44
-2 1 1  2.812  31.8  60
0 2 -2  1.823  50.0  48

For NiBiW4N2, a cell relaxed with GGA-PBE gives the calculated XRD peak list in this record (Cu Kα, 1.54184 Å).

Crystal structure
```
data_NiBiW4N2
_chemical_formula_sum 'Ni1 Bi1 W4 N2'
_cell_length_a 2.9132
_cell_length_b 2.9132
_cell_length_c 15.4499
_cell_angle_alpha 90.00
_cell_angle_beta 90.00
_cell_angle_gamma 120.00
_space_group_name_H-M_alt 'P -6 m 2'
_space_group_IT_number 187
_space_group_name_Hall 'P -6 2'
loop_
_atom_site_label
_atom_site_fract_x
_atom_site_fract_y
_atom_site_fract_z
Ni1 0.0000 0.0000 0.0000
Bi1 0.6667 0.3333 0.5000
W1 0.0000 0.0000 0.3140
W2 0.6667 0.3333 0.1350
N1 0.3333 0.6667 0.2263
```

Peak list (6 most intense, 2θ = 10–80°, low angle first)
hkl  d [Å]  2θ/deg  I/Imax
0 0 5  3.090  28.9  23
1 0 0  2.523  35.6  26
1 0 2  2.398  37.5  17
1 0 3  2.266  39.8  100
1 0 8  1.534  60.4  25
1 1 0  1.457  63.9  21

For Cs2Cd2BiSb, a cell relaxed with GGA-PBE gives the calculated XRD peak list in this record (Cu Kα, 1.54184 Å).

Crystal structure
```
data_Cs2Cd2BiSb
_chemical_formula_sum 'Cs2 Cd2 Bi1 Sb1'
_cell_length_a 4.9950
_cell_length_b 4.9950
_cell_length_c 11.8925
_cell_angle_alpha 90.00
_cell_angle_beta 90.00
_cell_angle_gamma 120.00
_space_group_name_H-M_alt 'P -6 m 2'
_space_group_IT_number 187
_space_group_name_Hall 'P -6 2'
loop_
_atom_site_label
_atom_site_fract_x
_atom_site_fract_y
_atom_site_fract_z
Cs1 0.0000 0.0000 0.2489
Cd1 0.3333 0.6667 0.0000
Cd2 0.6667 0.3333 0.5000
Bi1 0.3333 0.6667 0.5000
Sb1 0.6667 0.3333 0.0000
```

Peak list (6 most intense, 2θ = 10–80°, low angle first)
hkl  d [Å]  2θ/deg  I/Imax
1 0 2  3.498  25.5  100
0 0 4  2.973  30.1  25
1 1 0  2.498  36.0  46
2 0 2  2.033  44.6  22
1 1 4  1.912  47.5  41
2 1 2  1.576  58.6  20